[1]
For Na2Be2Cd3, a DFT-relaxed cell (PBE, OQMD) gives the simulated powder diffractogram in this record (Cu Kα).
Peak positions follow from Bragg's law for the DFT cell and can differ from measured ones.

Structural model:
Lattice parameters (Å, degrees): 7.913 7.913 7.913 33.07 33.07 33.07
Atoms (fractional coordinates):
Na  0.000  0.000  0.000
Na  0.385  0.385  0.385
Be  0.138  0.138  0.138
Be  0.628  0.628  0.628
Cd  0.253  0.253  0.253
Cd  0.517  0.517  0.517
Cd  0.782  0.782  0.782

Main lines, in order of rising 2θ (2θ from 10° to 80°):
7.473 Å, rel. 44.0
3.202 Å, rel. 100.0
2.475 Å, rel. 32.1
2.276 Å, rel. 44.1
2.252 Å, rel. 61.8
1.842 Å, rel. 20.0
1.806 Å, rel. 14.7
1.426 Å, rel. 16.5

---

[2]
For TbPmZn4, a DFT-relaxed cell (PBE, OQMD) gives the simulated powder diffractogram in this record (Cu Kα).
Peak positions follow from Bragg's law for the DFT cell and can differ from measured ones.

Structural model:
Lattice parameters (Å, degrees): 7.920 7.991 5.422 90.00 90.00 90.00
Atoms (fractional coordinates):
Tb  0.000  0.000  0.000
Tb  0.500  0.500  0.000
Pm  0.000  0.500  0.500
Pm  0.500  0.000  0.500
Zn  0.000  0.150  0.500
Zn  0.000  0.850  0.500
Zn  0.154  0.500  0.000
Zn  0.346  0.000  0.000
Zn  0.500  0.350  0.500
Zn  0.500  0.650  0.500
Zn  0.654  0.000  0.000
Zn  0.846  0.500  0.000

Main lines, in order of rising 2θ (2θ from 10° to 80°):
3.995 Å, rel. 100.0
3.960 Å, rel. 94.8
3.904 Å, rel. 44.1
2.711 Å, rel. 79.0
2.289 Å, rel. 72.2
2.275 Å, rel. 71.0
2.243 Å, rel. 42.9
1.772 Å, rel. 88.0

---

[3]
For ZnBiB4, a DFT-relaxed cell (PBE, OQMD) gives the simulated powder diffractogram in this record (Cu Kα).
Peak positions follow from Bragg's law for the DFT cell and can differ from measured ones.

Structural model:
Lattice parameters (Å, degrees): 3.122 3.122 8.171 90.00 90.00 120.00
Atoms (fractional coordinates):
Zn  0.000  0.000  0.000
Bi  0.000  0.000  0.500
B  0.333  0.667  0.200
B  0.333  0.667  0.800
B  0.667  0.333  0.200
B  0.667  0.333  0.800

Main lines, in order of rising 2θ (2θ from 10° to 80°):
8.171 Å, rel. 59.5
4.085 Å, rel. 56.1
2.703 Å, rel. 67.3
2.567 Å, rel. 33.4
2.254 Å, rel. 100.0
1.630 Å, rel. 32.7
1.561 Å, rel. 17.5
1.458 Å, rel. 20.0

---

[4]
For DyNiSb, a DFT-relaxed cell (PBE, OQMD) gives the simulated powder diffractogram in this record (Cu Kα).
Peak positions follow from Bragg's law for the DFT cell and can differ from measured ones.

Structural model:
Lattice parameters (Å, degrees): 7.024 7.024 4.309 90.00 90.00 120.00
Atoms (fractional coordinates):
Dy  0.000  0.575  0.000
Dy  0.425  0.425  0.000
Dy  0.575  0.000  0.000
Ni  0.000  0.247  0.500
Ni  0.247  0.000  0.500
Ni  0.753  0.753  0.500
Sb  0.000  0.000  0.000
Sb  0.333  0.667  0.500
Sb  0.667  0.333  0.500

Main lines, in order of rising 2θ (2θ from 10° to 80°):
2.722 Å, rel. 66.7
2.485 Å, rel. 100.0
2.299 Å, rel. 26.1
2.154 Å, rel. 27.5
2.028 Å, rel. 33.7
1.571 Å, rel. 32.9
1.329 Å, rel. 18.0
1.328 Å, rel. 22.4

---

[5]
For Cu5Ag4, a DFT-relaxed cell (PBE, OQMD) gives the simulated powder diffractogram in this record (Cu Kα).
Peak positions follow from Bragg's law for the DFT cell and can differ from measured ones.

Structural model:
Lattice parameters (Å, degrees): 7.080 7.080 7.080 157.00 78.55 106.14
Atoms (fractional coordinates):
Cu  0.000  0.000  0.000
Cu  0.020  0.355  0.665
Cu  0.330  0.001  0.329
Cu  0.671  0.001  0.671
Cu  0.689  0.355  0.335
Ag  0.346  0.671  0.675
Ag  0.348  0.348  0.000
Ag  0.680  0.680  0.000
Ag  0.996  0.671  0.325

Main lines, in order of rising 2θ (2θ from 10° to 80°):
3.358 Å, rel. 11.5
2.240 Å, rel. 98.9
2.234 Å, rel. 100.0
2.001 Å, rel. 69.8
1.827 Å, rel. 25.5
1.418 Å, rel. 10.0
1.411 Å, rel. 10.7
1.349 Å, rel. 34.4